# Pm2Er6Hg
Theoretical X-ray powder pattern, a wavelength of 1.5418 Å. Input: DFT lattice parameters and positions (PBE).
Neutral-atom scattering factors, no anomalous dispersion.

Most intense lines, 5 to 70 degrees two-theta, by angle:
Position (°2θ)	d/Å	I/Imax
30.97	2.888	24
32.16	2.784	100
32.34	2.768	50
32.89	2.724	42
36.20	2.482	11
38.37	2.346	12
46.62	1.948	17
51.41	1.777	10
57.50	1.603	16
58.27	1.583	14

Crystal structure
a b c (Å): 9.7083 10.2169 5.4471
angles (deg): 90.00 90.00 90.00
Space group Pnnm (No. 58)
One atom of each set of equivalent atoms:
Pm 0.1911 0.2467 0.0000 (multiplicity 4)
Er 0.0187 0.3199 0.5000 (multiplicity 4)
Er 0.1379 0.8961 0.0000 (multiplicity 4)
Er 0.1809 0.5725 0.0000 (multiplicity 4)
Hg 0.0000 0.0000 0.5000 (multiplicity 2)

***

# PmEr5Hg2
Theoretical X-ray powder pattern, a wavelength of 1.5418 Å. Input: DFT lattice parameters and positions (PBE).
Neutral-atom scattering factors, no anomalous dispersion.

Most intense lines, 5 to 70 degrees two-theta, by angle:
Position (°2θ)	d/Å	I/Imax
29.42	3.036	23
30.75	2.907	75
32.47	2.757	59
34.07	2.632	100
35.60	2.522	41
36.02	2.493	27
38.97	2.311	36
48.98	1.860	50
60.20	1.537	17
61.03	1.518	70

Crystal structure
a b c (Å): 3.7158 10.0869 12.3406
angles (deg): 90.00 90.00 90.00
Space group Immm (No. 71)
One atom of each set of equivalent atoms:
Pm 0.0000 0.0000 0.0000 (multiplicity 2)
Er 0.0000 0.2246 0.3634 (multiplicity 8)
Er 0.0000 0.5000 0.0000 (multiplicity 2)
Hg 0.0000 0.5000 0.2596 (multiplicity 4)

***

# Pm3ErHg2
Theoretical X-ray powder pattern, a wavelength of 1.5418 Å. Input: DFT lattice parameters and positions (PBE).
Neutral-atom scattering factors, no anomalous dispersion.

Most intense lines, 5 to 70 degrees two-theta, by angle:
Position (°2θ)	d/Å	I/Imax
28.33	3.150	23
30.57	2.924	24
31.64	2.828	32
32.02	2.795	100
33.04	2.711	92
34.14	2.627	59
42.06	2.148	19
47.23	1.925	21
59.78	1.547	17
60.42	1.532	18

Crystal structure
a b c (Å): 5.2532 9.4965 7.0406
angles (deg): 90.00 90.00 90.00
Space group Pmc2_1 (No. 26)
One atom of each set of equivalent atoms:
Pm 0.0000 0.0520 0.0000 (multiplicity 2)
Pm 0.0000 0.3303 0.3340 (multiplicity 2)
Pm 0.5000 0.1771 0.6896 (multiplicity 2)
Er 0.5000 0.4481 0.0272 (multiplicity 2)
Hg 0.0000 0.3503 0.7844 (multiplicity 2)
Hg 0.5000 0.1529 0.2431 (multiplicity 2)

***

# Pm2ErHg2
Theoretical X-ray powder pattern, a wavelength of 1.5418 Å. Input: DFT lattice parameters and positions (PBE).
Neutral-atom scattering factors, no anomalous dispersion.

Most intense lines, 5 to 70 degrees two-theta, by angle:
Position (°2θ)	d/Å	I/Imax
32.01	2.796	22
33.25	2.695	100
33.64	2.664	26
47.12	1.929	15
48.33	1.883	10
57.84	1.594	11
59.15	1.562	8
59.91	1.544	19
60.18	1.538	10
69.80	1.347	10

Crystal structure
a b c (Å): 3.7662 5.3279 14.1072
angles (deg): 90.00 97.66 90.00
Space group P2_1/m (No. 11)
One atom of each set of equivalent atoms:
Pm 0.0457 0.2500 0.0900 (multiplicity 2)
Pm 0.2334 0.2500 0.4685 (multiplicity 2)
Er 0.1472 0.7500 0.2934 (multiplicity 2)
Hg 0.3589 0.7500 0.7176 (multiplicity 2)
Hg 0.4446 0.2500 0.8896 (multiplicity 2)

***

# PrEr6Hg2
Theoretical X-ray powder pattern, a wavelength of 1.5418 Å. Input: DFT lattice parameters and positions (PBE).
Neutral-atom scattering factors, no anomalous dispersion.

Most intense lines, 5 to 70 degrees two-theta, by angle:
Position (°2θ)	d/Å	I/Imax
31.96	2.801	100
33.01	2.714	96
33.19	2.699	99
45.55	1.992	14
46.10	1.969	16
49.16	1.853	18
57.51	1.603	27
57.83	1.594	15
57.88	1.593	16
59.84	1.546	36

Crystal structure
a b c (Å): 12.5869 3.7069 11.8149
angles (deg): 90.00 108.31 90.00
Space group C2/m (No. 12)
One atom of each set of equivalent atoms:
Pr 0.0000 0.0000 0.0000 (multiplicity 2)
Er 0.0142 0.0000 0.3406 (multiplicity 4)
Er 0.1868 0.5000 0.5818 (multiplicity 4)
Er 0.1880 0.5000 0.8746 (multiplicity 4)
Hg 0.1514 0.5000 0.2210 (multiplicity 4)

***

# PrEr2Hg2
Theoretical X-ray powder pattern, a wavelength of 1.5418 Å. Input: DFT lattice parameters and positions (PBE).
Neutral-atom scattering factors, no anomalous dispersion.

Most intense lines, 5 to 70 degrees two-theta, by angle:
Position (°2θ)	d/Å	I/Imax
6.42	13.767	4
32.52	2.753	23
33.20	2.698	29
33.45	2.679	100
47.16	1.927	16
48.89	1.863	9
58.61	1.575	13
59.48	1.554	19
59.95	1.543	8
60.38	1.533	10

Crystal structure
a b c (Å): 3.7259 5.3959 13.8924
angles (deg): 90.00 97.69 90.00
Space group P2_1/m (No. 11)
One atom of each set of equivalent atoms:
Pr 0.1484 0.2500 0.2930 (multiplicity 2)
Er 0.0487 0.7500 0.0959 (multiplicity 2)
Er 0.2360 0.7500 0.4726 (multiplicity 2)
Hg 0.3550 0.2500 0.7118 (multiplicity 2)
Hg 0.4562 0.7500 0.9120 (multiplicity 2)

***

- Which formula does entry 1 have?
  Pm2Er6Hg